1.
Structure and computed powder diffraction line list of InPd17 (a GGA-PBE-relaxed structure; copper Kα).
Intensities are scaled so that the largest is 1000.

Atomic structure:
```
data_InPd17
_symmetry_space_group_name_H-M 'P -3 m 1'
_symmetry_Int_Tables_number 164
_symmetry_space_group_name_Hall '-P 3 2"'
_cell_length_a 5.5357
_cell_length_b 5.5357
_cell_length_c 30.8268
_cell_angle_alpha 90.00
_cell_angle_beta 90.00
_cell_angle_gamma 120.00
loop_
_atom_site_label
_atom_site_type_symbol
_atom_site_fract_x
_atom_site_fract_y
_atom_site_fract_z
In1 In 0.3333 0.6667 0.3014
Pd1 Pd 0.0000 0.0000 0.0000
Pd2 Pd 0.0000 0.0000 0.2215
Pd3 Pd 0.0000 0.5000 0.0000
Pd4 Pd 0.0009 0.5004 0.2221
Pd5 Pd 0.1663 0.3327 0.7036
Pd6 Pd 0.1665 0.3330 0.9265
Pd7 Pd 0.1668 0.3336 0.1475
Pd8 Pd 0.3333 0.6667 0.0738
Pd9 Pd 0.3333 0.6667 0.8527
```

The 6 most intense peaks (2θ = 5–70°), by angle:
- 2θ 5.73, rel. 1000
- 2θ 37.95, rel. 236
- 2θ 39.37, rel. 544
- 2θ 40.37, rel. 502
- 2θ 46.23, rel. 484
- 2θ 67.72, rel. 203


2.
Structure and computed powder diffraction line list of Li4TcBiO6 (a GGA-PBE-relaxed structure; copper Kα).
Intensities are scaled so that the largest is 1000.

Atomic structure:
```
data_Li4TcBiO6
_symmetry_space_group_name_H-M 'C 1 2 1'
_symmetry_Int_Tables_number 5
_symmetry_space_group_name_Hall 'C 2y'
_cell_length_a 5.4281
_cell_length_b 9.5004
_cell_length_c 5.1742
_cell_angle_alpha 90.00
_cell_angle_beta 109.44
_cell_angle_gamma 90.00
loop_
_atom_site_label
_atom_site_type_symbol
_atom_site_fract_x
_atom_site_fract_y
_atom_site_fract_z
Li1 Li 0.0000 0.0000 0.0000
Li2 Li 0.0000 0.1485 0.5000
Li3 Li 0.0000 0.3179 0.0000
Li4 Li 0.0000 0.6220 0.0000
Tc1 Tc 0.0000 0.4820 0.5000
Bi1 Bi 0.0000 0.8133 0.5000
O1 O 0.2193 0.3311 0.7391
O2 O 0.2300 0.4863 0.2668
O3 O 0.2338 0.6320 0.7426
```

The 6 most intense peaks (2θ = 5–70°), by angle:
- 2θ 18.18, rel. 1000
- 2θ 19.70, rel. 519
- 2θ 22.60, rel. 394
- 2θ 33.27, rel. 422
- 2θ 35.11, rel. 343
- 2θ 41.02, rel. 485


3.
Structure and computed powder diffraction line list of Nd5Ir2Cl3O10 (a GGA-PBE-relaxed structure; copper Kα).
Intensities are scaled so that the largest is 1000.

Atomic structure:
```
data_Nd5Ir2Cl3O10
_symmetry_space_group_name_H-M 'C 1 2/m 1'
_symmetry_Int_Tables_number 12
_symmetry_space_group_name_Hall '-C 2y'
_cell_length_a 12.5973
_cell_length_b 5.5978
_cell_length_c 9.3991
_cell_angle_alpha 90.00
_cell_angle_beta 104.09
_cell_angle_gamma 90.00
loop_
_atom_site_label
_atom_site_type_symbol
_atom_site_fract_x
_atom_site_fract_y
_atom_site_fract_z
Nd1 Nd 0.0000 0.0000 0.0000
Nd2 Nd 0.1457 0.5000 0.2602
Nd3 Nd 0.1851 0.5000 0.8817
Ir1 Ir 0.0169 0.0000 0.6384
Cl1 Cl 0.0000 0.5000 0.5000
Cl2 Cl 0.1895 0.0000 0.3956
O1 O 0.0134 0.2464 0.7836
O2 O 0.1594 0.2544 0.0686
O3 O 0.1685 0.0000 0.6912
```

The 6 most intense peaks (2θ = 5–70°), by angle:
- 2θ 24.87, rel. 345
- 2θ 27.08, rel. 1000
- 2θ 31.98, rel. 470
- 2θ 32.76, rel. 799
- 2θ 45.16, rel. 317
- 2θ 54.04, rel. 270


4.
Structure and computed powder diffraction line list of Nd2DyCo2B2N3 (a GGA-PBE-relaxed structure; copper Kα).
Intensities are scaled so that the largest is 1000.

Atomic structure:
```
data_Nd2DyCo2B2N3
_symmetry_space_group_name_H-M 'I 4/m m m'
_symmetry_Int_Tables_number 139
_symmetry_space_group_name_Hall '-I 4 2'
_cell_length_a 3.5910
_cell_length_b 3.5910
_cell_length_c 19.7634
_cell_angle_alpha 90.00
_cell_angle_beta 90.00
_cell_angle_gamma 90.00
loop_
_atom_site_label
_atom_site_type_symbol
_atom_site_fract_x
_atom_site_fract_y
_atom_site_fract_z
Nd1 Nd 0.0000 0.0000 0.1267
Dy1 Dy 0.0000 0.0000 0.5000
Co1 Co 0.0000 0.5000 0.2500
B1 B 0.0000 0.0000 0.3040
N1 N 0.0000 0.0000 0.0000
N2 N 0.0000 0.0000 0.3799
```

The 6 most intense peaks (2θ = 5–70°), by angle:
- 2θ 28.31, rel. 1000
- 2θ 33.72, rel. 678
- 2θ 35.35, rel. 389
- 2θ 36.37, rel. 443
- 2θ 36.54, rel. 388
- 2θ 59.23, rel. 366


5.
Structure and computed powder diffraction line list of Tl2HgPdBr6 (a GGA-PBE-relaxed structure; copper Kα).
Intensities are scaled so that the largest is 1000.

Atomic structure:
```
data_Tl2HgPdBr6
_symmetry_space_group_name_H-M 'P 1 21/c 1'
_symmetry_Int_Tables_number 14
_symmetry_space_group_name_Hall '-P 2ybc'
_cell_length_a 7.5452
_cell_length_b 7.9253
_cell_length_c 13.1334
_cell_angle_alpha 90.00
_cell_angle_beta 123.88
_cell_angle_gamma 90.00
loop_
_atom_site_label
_atom_site_type_symbol
_atom_site_fract_x
_atom_site_fract_y
_atom_site_fract_z
Tl1 Tl 0.2292 0.0926 0.2503
Hg1 Hg 0.0000 0.0000 0.5000
Pd1 Pd 0.5000 0.0000 0.0000
Br1 Br 0.1789 0.1647 0.9486
Br2 Br 0.2421 0.6789 0.9682
Br3 Br 0.3637 0.5222 0.2794
```

The 6 most intense peaks (2θ = 5–70°), by angle:
- 2θ 22.87, rel. 603
- 2θ 23.22, rel. 549
- 2θ 23.89, rel. 254
- 2θ 32.82, rel. 1000
- 2θ 33.46, rel. 337
- 2θ 40.83, rel. 313


6.
Structure and computed powder diffraction line list of NdBi3S6 (a GGA-PBE-relaxed structure; copper Kα).
Intensities are scaled so that the largest is 1000.

Atomic structure:
```
data_NdBi3S6
_symmetry_space_group_name_H-M 'P 1 21/m 1'
_symmetry_Int_Tables_number 11
_symmetry_space_group_name_Hall '-P 2yb'
_cell_length_a 11.6969
_cell_length_b 4.0304
_cell_length_c 11.6985
_cell_angle_alpha 90.00
_cell_angle_beta 106.52
_cell_angle_gamma 90.00
loop_
_atom_site_label
_atom_site_type_symbol
_atom_site_fract_x
_atom_site_fract_y
_atom_site_fract_z
Nd1 Nd 0.1890 0.2500 0.0401
Bi1 Bi 0.0200 0.7500 0.3032
Bi2 Bi 0.3347 0.2500 0.4323
Bi3 Bi 0.4064 0.7500 0.8460
S1 S 0.0370 0.7500 0.8934
S2 S 0.1150 0.2500 0.4639
S3 S 0.2206 0.7500 0.2372
S4 S 0.2500 0.2500 0.8079
S5 S 0.3877 0.7500 0.0685
S6 S 0.4127 0.7500 0.5892
```

The 6 most intense peaks (2θ = 5–70°), by angle:
- 2θ 15.53, rel. 547
- 2θ 22.84, rel. 971
- 2θ 25.49, rel. 1000
- 2θ 27.09, rel. 565
- 2θ 32.67, rel. 731
- 2θ 40.97, rel. 560


Number 2 is which compound?
Li4TcBiO6